(1)
KLi3: computed X-ray powder pattern (Cu Ka), based on a cell relaxed with PBE.
Neutral-atom scattering factors, no anomalous dispersion.

Atomic structure:
```
KLi3
1.0
-2.449 2.449 5.266
2.449 -2.449 5.266
2.449 2.449 -5.266
K Li
1 3
direct
0.000 0.000 0.000
0.250 0.750 0.500
0.500 0.500 0.000
0.750 0.250 0.500
```

Most intense lines, 10 to 90 degrees two-theta, sorted by position:
d_spacing  2θ (°)  I_rel
5.266  16.8  37.5
4.441  20.0  100.0
3.463  25.7  26.5
2.894  30.9  78.6
2.853  31.4  30.6
2.633  34.1  14.8
2.449  36.7  23.7
2.145  42.1  24.3
1.793  50.9  17.1
1.486  62.5  17.5



(2)
KLi3: computed X-ray powder pattern (Cu Ka), based on a cell relaxed with PBE.
Neutral-atom scattering factors, no anomalous dispersion.

Atomic structure:
```
KLi3
1.0
0.000 4.021 4.021
4.021 0.000 4.021
4.021 4.021 0.000
K Li
1 3
direct
0.000 0.000 0.000
0.250 0.250 0.250
0.500 0.500 0.500
0.750 0.750 0.750
```

Most intense lines, 10 to 90 degrees two-theta, sorted by position:
d_spacing  2θ (°)  I_rel
4.643  19.1  99.4
4.021  22.1  52.3
2.843  31.5  100.0
2.425  37.1  49.2
2.322  38.8  14.2
2.011  45.1  16.8
1.845  49.4  19.1
1.798  50.8  17.4
1.642  56.0  33.6
1.548  59.7  13.2



(3)
KLiMg14: computed X-ray powder pattern (Cu Ka), based on a cell relaxed with PBE.
Neutral-atom scattering factors, no anomalous dispersion.

Atomic structure:
```
KLiMg14
1.0
10.689 0.000 0.000
0.000 3.203 5.711
0.000 -3.203 5.711
K Li Mg
1 1 14
direct
0.000 0.000 0.000
0.000 0.499 0.499
0.000 0.003 0.498
0.000 0.498 0.003
0.247 0.666 0.666
0.263 0.171 0.171
0.264 0.169 0.657
0.264 0.657 0.169
0.500 0.000 0.000
0.500 0.501 0.501
0.500 0.501 0.998
0.500 0.998 0.501
0.736 0.169 0.657
0.736 0.657 0.169
0.737 0.171 0.171
0.753 0.666 0.666
```

Most intense lines, 10 to 90 degrees two-theta, sorted by position:
d_spacing  2θ (°)  I_rel
2.855  31.3  12.3
2.793  32.0  25.9
2.672  33.5  40.6
2.518  35.6  53.5
2.476  36.3  100.0
1.931  47.1  15.2
1.636  56.2  17.8
1.502  61.8  17.8
1.396  67.1  21.7
1.351  69.6  13.5



(4)
KLiMg14: computed X-ray powder pattern (Cu Ka), based on a cell relaxed with PBE.
Neutral-atom scattering factors, no anomalous dispersion.

Atomic structure:
```
KLiMg14
1.0
6.619 0.000 0.000
-3.310 5.732 0.000
0.000 0.000 10.361
K Li Mg
1 1 14
direct
0.000 0.000 0.000
0.000 0.000 0.500
0.000 0.500 0.500
0.006 0.503 0.000
0.171 0.341 0.261
0.171 0.341 0.739
0.171 0.829 0.261
0.171 0.829 0.739
0.497 0.503 0.000
0.497 0.994 0.000
0.500 0.000 0.500
0.500 0.500 0.500
0.659 0.829 0.261
0.659 0.829 0.739
0.667 0.333 0.246
0.667 0.333 0.754
```

Most intense lines, 10 to 90 degrees two-theta, sorted by position:
d_spacing  2θ (°)  I_rel
5.016  17.7  5.9
2.866  31.2  24.7
2.590  34.6  23.9
2.508  35.8  100.0
1.922  47.3  14.2
1.655  55.5  17.7
1.479  62.8  16.9
1.394  67.1  18.6
1.381  67.9  13.8
1.103  88.7  6.3



(5)
KLiMg14O15: computed X-ray powder pattern (Cu Ka), based on a cell relaxed with PBE.
Neutral-atom scattering factors, no anomalous dispersion.

Atomic structure:
```
KLiMg14O15
1.0
4.374 0.000 0.000
0.000 8.799 0.000
0.000 0.000 8.388
K Li Mg O
1 1 14 15
direct
0.000 0.000 0.000
0.000 0.500 0.558
0.000 0.000 0.540
0.000 0.251 0.311
0.000 0.283 0.813
0.000 0.500 0.072
0.000 0.717 0.813
0.000 0.749 0.311
0.500 0.000 0.300
0.500 0.000 0.812
0.500 0.253 0.565
0.500 0.255 0.068
0.500 0.500 0.324
0.500 0.500 0.811
0.500 0.745 0.068
0.500 0.747 0.565
0.000 0.000 0.311
0.000 0.227 0.580
0.000 0.271 0.060
0.000 0.500 0.318
0.000 0.500 0.814
0.000 0.729 0.060
0.000 0.773 0.580
0.500 0.000 0.059
0.500 0.000 0.575
0.500 0.238 0.817
0.500 0.249 0.317
0.500 0.500 0.062
0.500 0.500 0.570
0.500 0.751 0.317
0.500 0.762 0.817
```

Most intense lines, 10 to 90 degrees two-theta, sorted by position:
d_spacing  2θ (°)  I_rel
8.388  10.5  8.0
2.863  31.2  10.8
2.494  36.0  32.1
2.200  41.0  93.4
2.187  41.3  100.0
2.097  43.1  73.3
1.551  59.6  52.7
1.518  61.0  40.6
1.514  61.2  44.2
1.247  76.4  37.7



(6)
KLiMg6O7: computed X-ray powder pattern (Cu Ka), based on a cell relaxed with PBE.
Neutral-atom scattering factors, no anomalous dispersion.

Atomic structure:
```
KLiMg6O7
1.0
4.510 0.000 0.000
0.000 4.510 0.000
0.000 0.000 8.498
K Li Mg O
1 1 6 7
direct
0.000 0.000 0.000
0.500 0.500 0.982
0.000 0.000 0.492
0.000 0.500 0.219
0.000 0.500 0.749
0.500 0.000 0.219
0.500 0.000 0.749
0.500 0.500 0.478
0.000 0.000 0.716
0.000 0.500 0.456
0.000 0.500 0.990
0.500 0.000 0.456
0.500 0.000 0.990
0.500 0.500 0.235
0.500 0.500 0.717
```

Most intense lines, 10 to 90 degrees two-theta, sorted by position:
d_spacing  2θ (°)  I_rel
3.984  22.3  15.4
3.093  28.9  15.0
2.551  35.2  22.5
2.255  40.0  100.0
2.125  42.6  35.3
1.595  57.8  28.9
1.546  59.8  44.3
1.352  69.5  9.8
1.275  74.4  21.2
1.128  86.3  7.6



(7)
KLiMg6O7: computed X-ray powder pattern (Cu Ka), based on a cell relaxed with PBE.
Neutral-atom scattering factors, no anomalous dispersion.

Atomic structure:
```
KLiMg6O7
1.0
4.470 0.000 0.000
0.000 4.470 0.000
0.000 0.000 8.772
K Li Mg O
1 1 6 7
direct
0.000 0.000 0.000
0.500 0.500 0.993
0.000 0.000 0.504
0.000 0.500 0.253
0.000 0.500 0.772
0.500 0.000 0.253
0.500 0.000 0.772
0.500 0.500 0.531
0.000 0.000 0.280
0.000 0.000 0.728
0.000 0.500 0.028
0.000 0.500 0.492
0.500 0.000 0.028
0.500 0.000 0.492
0.500 0.500 0.758
```

Most intense lines, 10 to 90 degrees two-theta, sorted by position:
d_spacing  2θ (°)  I_rel
4.470  19.9  20.0
3.983  22.3  13.8
2.564  35.0  22.3
2.235  40.4  100.0
2.193  41.2  40.5
1.580  58.4  28.7
1.565  59.0  48.0
1.345  69.9  8.8
1.282  73.9  22.0
1.117  87.2  7.6



(8)
KLiMg14O15: computed X-ray powder pattern (Cu Ka), based on a cell relaxed with PBE.
Neutral-atom scattering factors, no anomalous dispersion.

Atomic structure:
```
KLiMg14O15
1.0
4.370 0.000 0.000
0.000 8.733 0.000
0.000 0.000 8.471
K Li Mg O
1 1 14 15
direct
0.000 0.000 0.000
0.000 0.500 0.077
0.000 0.000 0.540
0.000 0.251 0.300
0.000 0.283 0.823
0.000 0.500 0.559
0.000 0.717 0.823
0.000 0.749 0.300
0.500 0.000 0.295
0.500 0.000 0.816
0.500 0.248 0.565
0.500 0.262 0.067
0.500 0.500 0.309
0.500 0.500 0.820
0.500 0.738 0.067
0.500 0.752 0.565
0.000 0.000 0.314
0.000 0.235 0.581
0.000 0.270 0.060
0.000 0.500 0.326
0.000 0.500 0.796
0.000 0.730 0.060
0.000 0.765 0.581
0.500 0.000 0.059
0.500 0.000 0.579
0.500 0.239 0.816
0.500 0.248 0.317
0.500 0.500 0.061
0.500 0.500 0.569
0.500 0.752 0.317
0.500 0.761 0.816
```

Most intense lines, 10 to 90 degrees two-theta, sorted by position:
d_spacing  2θ (°)  I_rel
2.872  31.1  5.3
2.496  36.0  16.9
2.184  41.3  100.0
2.118  42.7  38.8
1.544  59.9  27.2
1.520  60.9  44.0
1.485  62.5  3.4
1.313  71.9  6.6
1.248  76.3  19.4
1.092  89.8  6.9



Please write out number 7 again, unchanged.
KLiMg6O7: computed X-ray powder pattern (Cu Ka), based on a cell relaxed with PBE.
Neutral-atom scattering factors, no anomalous dispersion.

Atomic structure:
```
KLiMg6O7
1.0
4.470 0.000 0.000
0.000 4.470 0.000
0.000 0.000 8.772
K Li Mg O
1 1 6 7
direct
0.000 0.000 0.000
0.500 0.500 0.993
0.000 0.000 0.504
0.000 0.500 0.253
0.000 0.500 0.772
0.500 0.000 0.253
0.500 0.000 0.772
0.500 0.500 0.531
0.000 0.000 0.280
0.000 0.000 0.728
0.000 0.500 0.028
0.000 0.500 0.492
0.500 0.000 0.028
0.500 0.000 0.492
0.500 0.500 0.758
```

Most intense lines, 10 to 90 degrees two-theta, sorted by position:
d_spacing  2θ (°)  I_rel
4.470  19.9  20.0
3.983  22.3  13.8
2.564  35.0  22.3
2.235  40.4  100.0
2.193  41.2  40.5
1.580  58.4  28.7
1.565  59.0  48.0
1.345  69.9  8.8
1.282  73.9  22.0
1.117  87.2  7.6